1.
This entry pairs a crystal structure of Sc4TeP3 with its theoretical PXRD pattern. Radiation: a wavelength of 1.5418 Å. Structure: a crystal structure in Alexandria, relaxed with PBE.

Top 10 peaks for 15 to 90 degrees two-theta, in order of falling intensity:
2θ (°)	I_rel
32.2	100
34.3	84
47.3	55
27.0	33
48.1	31
78.3	26
58.4	22
28.8	19
59.7	15
79.5	13

Atomic structure:
Lattice parameters (Å, degrees): 3.8428 3.8428 25.3105 90.00 90.00 120.00
Fractional coordinates of all 16 atoms:
Sc 0.0000 0.0000 0.1716
Sc 0.0000 0.0000 0.3284
Sc 0.0000 0.0000 0.6716
Sc 0.0000 0.0000 0.8284
Sc 0.3333 0.6667 0.0573
Sc 0.3333 0.6667 0.4427
Sc 0.6667 0.3333 0.5573
Sc 0.6667 0.3333 0.9427
Te 0.3333 0.6667 0.2500
Te 0.6667 0.3333 0.7500
P 0.0000 0.0000 0.0000
P 0.0000 0.0000 0.5000
P 0.3333 0.6667 0.6186
P 0.3333 0.6667 0.8814
P 0.6667 0.3333 0.1186
P 0.6667 0.3333 0.3814

2.
This entry pairs a crystal structure of Cs2DyAlSe4 with its theoretical PXRD pattern. Radiation: a wavelength of 1.5418 Å. Structure: a crystal structure in Alexandria, relaxed with PBE.

Top 10 peaks for 15 to 90 degrees two-theta, in order of falling intensity:
2θ (°)	I_rel
28.0	100
23.2	55
22.6	52
24.6	45
34.4	39
45.7	31
30.1	23
41.2	23
44.1	21
27.8	21

Atomic structure:
Lattice parameters (Å, degrees): 15.3285 13.7217 8.2136 84.71 63.05 32.25
Fractional coordinates of all 16 atoms:
Cs 0.0544 0.0544 0.6956
Cs 0.3044 0.3044 0.9456
Cs 0.6956 0.6956 0.0544
Cs 0.9456 0.9456 0.3044
Dy 0.1250 0.1250 0.1250
Dy 0.8750 0.8750 0.8750
Al 0.3750 0.3750 0.3750
Al 0.6250 0.6250 0.6250
Se 0.0095 0.6372 0.5490
Se 0.3043 0.5490 0.6372
Se 0.3628 0.9905 0.6957
Se 0.4510 0.6957 0.9905
Se 0.5490 0.3043 0.0095
Se 0.6372 0.0095 0.3043
Se 0.6957 0.4510 0.3628
Se 0.9905 0.3628 0.4510

3.
This entry pairs a crystal structure of NaLa2Pu3Se6 with its theoretical PXRD pattern. Radiation: a wavelength of 1.5418 Å. Structure: a crystal structure in Alexandria, relaxed with PBE.

Top 10 peaks for 15 to 90 degrees two-theta, in order of falling intensity:
2θ (°)	I_rel
29.9	100
42.6	38
42.9	38
53.1	20
25.9	17
70.6	17
78.4	13
70.1	11
24.8	11
62.0	8

Atomic structure:
Lattice parameters (Å, degrees): 9.4694 9.4694 8.4941 103.45 103.45 25.74
Fractional coordinates of all 12 atoms:
Na 0.0000 0.0000 0.0000
La 0.3345 0.3345 0.6687
La 0.6655 0.6655 0.3313
Pu 0.0000 0.0000 0.5000
Pu 0.3338 0.3338 0.1669
Pu 0.6662 0.6662 0.8331
Se 0.1641 0.1641 0.5898
Se 0.1680 0.1680 0.0759
Se 0.4976 0.4976 0.2556
Se 0.5024 0.5024 0.7444
Se 0.8320 0.8320 0.9241
Se 0.8359 0.8359 0.4102

4.
This entry pairs a crystal structure of Li3In8 with its theoretical PXRD pattern. Radiation: a wavelength of 1.5418 Å. Structure: a crystal structure in Alexandria, relaxed with PBE.

Top 10 peaks for 15 to 90 degrees two-theta, in order of falling intensity:
2θ (°)	I_rel
33.9	100
34.5	95
39.2	66
57.8	41
22.0	31
40.7	30
20.7	16
67.4	13
67.3	13
70.1	12

Atomic structure:
Lattice parameters (Å, degrees): 5.5454 5.5454 11.7916 102.96 102.96 47.15
Fractional coordinates of all 11 atoms:
Li 0.0000 0.0000 0.0000
Li 0.0928 0.0928 0.6429
Li 0.9072 0.9072 0.3571
In 0.1847 0.1847 0.2770
In 0.2726 0.2726 0.9111
In 0.3660 0.3660 0.5403
In 0.4565 0.4565 0.1813
In 0.5435 0.5435 0.8187
In 0.6340 0.6340 0.4597
In 0.7274 0.7274 0.0889
In 0.8153 0.8153 0.7230